Calculated powder X-ray diffraction pattern of MgAlPb2 for Cu Kα, 1.54184 Å, from a cell relaxed with GGA-PBE.
No peak broadening, texture or thermal motion is included.

abc: 4.8560 4.8560 8.7428
angles: 90.00 90.00 90.00
Space group I4/mmm (No. 139)
Inequivalent atoms, fractional coordinates:
1 Mg 0.0000 0.0000 0.0000 (multiplicity 2)
2 Al 0.0000 0.0000 0.5000 (multiplicity 2)
3 Pb 0.0000 0.5000 0.2500 (multiplicity 4)

Principal peaks in the range 2θ = 15–90°, sorted by position:
h k l  2θ/deg  intensity
0 0 2  20.3  48
1 1 0  25.9  54
1 1 2  33.2  100
2 0 0  37.0  37
0 0 4  41.3  14
2 0 2  42.6  31
1 1 4  49.4  20
2 2 0  53.4  13
2 0 4  56.7  22
3 1 2  64.3  31